No. 1
Starting from a cell relaxed with PBE, the XRD peak list of Ac3Pr3Hg2 was computed for Cu Kα (λ = 1.5418 Å).
No peak broadening, texture or thermal motion is included.

abc: 6.9125 6.9125 17.2162
angles: 90.00 90.00 134.90
Element x y z (fractional)
Ac  0.0454  0.9546  0.6136
Ac  0.0454  0.9546  0.8864
Ac  0.3250  0.6750  0.7500
Ac  0.6750  0.3250  0.2500
Ac  0.9546  0.0454  0.1136
Ac  0.9546  0.0454  0.3864
Pr  0.3604  0.6396  0.5297
Pr  0.3604  0.6396  0.9703
Pr  0.3936  0.6064  0.2500
Pr  0.6064  0.3936  0.7500
Pr  0.6396  0.3604  0.0297
Pr  0.6396  0.3604  0.4703
Hg  0.2227  0.7773  0.1195
Hg  0.2227  0.7773  0.3805
Hg  0.7773  0.2227  0.6195
Hg  0.7773  0.2227  0.8805

Top 12 peaks for 15 to 90 degrees two-theta, low angle first:
| Position (°2θ) | I/Imax |
| --- | --- |
| 26.86 | 31 |
| 27.59 | 100 |
| 28.44 | 37 |
| 31.13 | 75 |
| 31.77 | 22 |
| 33.81 | 49 |
| 35.00 | 31 |
| 41.98 | 16 |
| 44.74 | 26 |
| 46.63 | 16 |
| 49.46 | 23 |
| 58.82 | 25 |

=====

No. 2
Starting from a cell relaxed with PBE, the XRD peak list of KHfAl2Cl was computed for Cu Kα (λ = 1.5418 Å).
No peak broadening, texture or thermal motion is included.

abc: 5.7344 5.7344 5.8201
angles: 90.00 90.00 90.00
Element x y z (fractional)
K  0.0000  0.0000  0.0000
Hf  0.0000  0.0000  0.5000
Al  0.0000  0.5000  0.0000
Al  0.5000  0.0000  0.0000
Cl  0.5000  0.5000  0.5000

Top 12 peaks for 15 to 90 degrees two-theta, low angle first:
| Position (°2θ) | I/Imax |
| --- | --- |
| 15.45 | 100 |
| 21.76 | 25 |
| 21.92 | 56 |
| 26.80 | 88 |
| 30.72 | 29 |
| 31.19 | 55 |
| 34.56 | 29 |
| 34.99 | 28 |
| 38.06 | 26 |
| 44.35 | 40 |
| 47.24 | 24 |
| 52.88 | 27 |

=====

No. 3
Starting from a cell relaxed with PBE, the XRD peak list of K3Rb5Na was computed for Cu Kα (λ = 1.5418 Å).
No peak broadening, texture or thermal motion is included.

abc: 12.9009 12.9009 4.8971
angles: 90.00 90.00 120.00
Element x y z (fractional)
K  0.0000  0.6403  0.0000
K  0.3597  0.3597  0.0000
K  0.6403  0.0000  0.0000
Rb  0.0000  0.2706  0.5000
Rb  0.2706  0.0000  0.5000
Rb  0.3333  0.6667  0.5000
Rb  0.6667  0.3333  0.5000
Rb  0.7294  0.7294  0.5000
Na  0.0000  0.0000  0.0000

Top 12 peaks for 15 to 90 degrees two-theta, low angle first:
| Position (°2θ) | I/Imax |
| --- | --- |
| 18.11 | 22 |
| 21.04 | 54 |
| 22.80 | 100 |
| 23.89 | 96 |
| 24.17 | 41 |
| 27.90 | 53 |
| 30.15 | 17 |
| 33.26 | 17 |
| 39.69 | 40 |
| 41.37 | 26 |
| 44.27 | 35 |
| 49.06 | 22 |

=====

No. 4
Starting from a cell relaxed with PBE, the XRD peak list of Mg8Hg3Pb was computed for Cu Kα (λ = 1.5418 Å).
No peak broadening, texture or thermal motion is included.

abc: 8.2394 8.2283 6.7401
angles: 65.93 65.75 48.32
Element x y z (fractional)
Mg  0.1145  0.6297  0.8855
Mg  0.1149  0.6300  0.3700
Mg  0.3700  0.8851  0.1149
Mg  0.3703  0.8855  0.6297
Mg  0.6297  0.1145  0.3703
Mg  0.6300  0.1149  0.8851
Mg  0.8851  0.3700  0.6300
Mg  0.8855  0.3703  0.1145
Hg  0.0000  0.0000  0.0000
Hg  0.2500  0.2500  0.2500
Hg  0.7500  0.7500  0.7500
Pb  0.5000  0.5000  0.5000

Top 12 peaks for 15 to 90 degrees two-theta, low angle first:
| Position (°2θ) | I/Imax |
| --- | --- |
| 22.88 | 100 |
| 26.45 | 19 |
| 26.55 | 10 |
| 37.67 | 11 |
| 37.83 | 55 |
| 44.55 | 18 |
| 44.69 | 36 |
| 54.45 | 8 |
| 59.93 | 19 |
| 68.10 | 8 |
| 68.31 | 12 |
| 85.37 | 9 |

=====

No. 5
Starting from a cell relaxed with PBE, the XRD peak list of Er2HgOsO8 was computed for Cu Kα (λ = 1.5418 Å).
No peak broadening, texture or thermal motion is included.

abc: 4.8545 4.8545 7.1883
angles: 90.00 90.00 92.67
Element x y z (fractional)
Er  0.0000  0.0000  0.2458
Er  0.0000  0.0000  0.7542
Hg  0.5000  0.5000  0.0000
Os  0.5000  0.5000  0.5000
O  0.1945  0.1945  0.0000
O  0.2175  0.2175  0.5000
O  0.3132  0.6868  0.3150
O  0.3132  0.6868  0.6850
O  0.6868  0.3132  0.3150
O  0.6868  0.3132  0.6850
O  0.7825  0.7825  0.5000
O  0.8055  0.8055  0.0000

Top 12 peaks for 15 to 90 degrees two-theta, low angle first:
| Position (°2θ) | I/Imax |
| --- | --- |
| 25.36 | 49 |
| 26.60 | 42 |
| 30.97 | 100 |
| 37.08 | 26 |
| 48.34 | 35 |
| 49.77 | 32 |
| 50.81 | 8 |
| 57.62 | 11 |
| 58.26 | 8 |
| 63.06 | 18 |
| 64.55 | 12 |
| 73.79 | 8 |

=====

No. 6
Starting from a cell relaxed with PBE, the XRD peak list of K2AsF6 was computed for Cu Kα (λ = 1.5418 Å).
No peak broadening, texture or thermal motion is included.

abc: 5.5500 5.5500 11.1858
angles: 90.00 90.00 90.00
Element x y z (fractional)
K  0.0000  0.0000  0.1631
K  0.0000  0.0000  0.8369
K  0.5000  0.5000  0.3369
K  0.5000  0.5000  0.6631
As  0.0000  0.0000  0.5000
As  0.5000  0.5000  0.0000
F  0.1695  0.1695  0.3749
F  0.1695  0.1695  0.6251
F  0.2447  0.7553  0.5000
F  0.2553  0.2553  0.0000
F  0.3305  0.6695  0.1251
F  0.3305  0.6695  0.8749
F  0.6695  0.3305  0.1251
F  0.6695  0.3305  0.8749
F  0.7447  0.7447  0.0000
F  0.7553  0.2447  0.5000
F  0.8305  0.8305  0.3749
F  0.8305  0.8305  0.6251

Top 12 peaks for 15 to 90 degrees two-theta, low angle first:
| Position (°2θ) | I/Imax |
| --- | --- |
| 15.85 | 23 |
| 17.84 | 43 |
| 22.66 | 100 |
| 28.85 | 59 |
| 33.14 | 16 |
| 43.82 | 58 |
| 46.27 | 20 |
| 54.49 | 13 |
| 55.44 | 20 |
| 65.62 | 10 |
| 74.21 | 9 |
| 75.02 | 10 |

=====

No. 7
Starting from a cell relaxed with PBE, the XRD peak list of SmSe2O8 was computed for Cu Kα (λ = 1.5418 Å).
No peak broadening, texture or thermal motion is included.

abc: 6.6367 6.6367 6.6367
angles: 60.00 60.00 60.00
Element x y z (fractional)
Sm  0.0000  0.0000  0.0000
Se  0.2500  0.2500  0.2500
Se  0.7500  0.7500  0.7500
O  0.1480  0.1480  0.1480
O  0.1480  0.1480  0.5561
O  0.1480  0.5561  0.1480
O  0.4439  0.8520  0.8520
O  0.5561  0.1480  0.1480
O  0.8520  0.4439  0.8520
O  0.8520  0.8520  0.4439
O  0.8520  0.8520  0.8520

Top 12 peaks for 15 to 90 degrees two-theta, low angle first:
| Position (°2θ) | I/Imax |
| --- | --- |
| 16.36 | 69 |
| 26.87 | 100 |
| 31.62 | 14 |
| 38.36 | 7 |
| 41.96 | 27 |
| 47.46 | 37 |
| 50.53 | 8 |
| 55.37 | 19 |
| 58.15 | 11 |
| 62.60 | 14 |
| 75.86 | 21 |
| 88.37 | 11 |

=====

No. 8
Starting from a cell relaxed with PBE, the XRD peak list of NaCe2Pr3Se6 was computed for Cu Kα (λ = 1.5418 Å).
No peak broadening, texture or thermal motion is included.

abc: 9.4949 9.4949 8.5202
angles: 103.11 103.11 25.70
Element x y z (fractional)
Na  0.0000  0.0000  0.0000
Ce  0.3331  0.3331  0.6644
Ce  0.6669  0.6669  0.3356
Pr  0.0000  0.0000  0.5000
Pr  0.3350  0.3350  0.1716
Pr  0.6650  0.6650  0.8284
Se  0.1657  0.1657  0.0850
Se  0.1667  0.1667  0.5806
Se  0.4978  0.4978  0.7516
Se  0.5022  0.5022  0.2484
Se  0.8333  0.8333  0.4194
Se  0.8343  0.8343  0.9150

Top 12 peaks for 15 to 90 degrees two-theta, low angle first:
| Position (°2θ) | I/Imax |
| --- | --- |
| 29.78 | 100 |
| 42.44 | 13 |
| 42.62 | 50 |
| 42.82 | 12 |
| 52.63 | 7 |
| 52.77 | 7 |
| 53.02 | 13 |
| 61.86 | 12 |
| 69.88 | 6 |
| 70.08 | 11 |
| 70.20 | 11 |
| 78.30 | 8 |